[1]
Starting from DFT lattice parameters and positions (PBE), the PXRD pattern of Lu2Hf4Pb3C3 was calculated for Cu Ka.
Peak positions follow from Bragg's law for the DFT cell and can differ from measured ones.

The 8 most intense peaks (10° ≤ 2θ ≤ 80°), most intense first:
35.19 deg, I = 100; 30.13 deg, I = 23; 53.51 deg, I = 21; 35.97 deg, I = 20; 64.12 deg, I = 12; 65.70 deg, I = 11; 66.11 deg, I = 11; 66.23 deg, I = 10

Atomic structure:
```
Lu2Hf4Pb3C3
1.0
5.137 -2.966 0.000
5.137 2.966 0.000
-3.462 0.000 14.981
Lu Hf Pb C
4 8 6 6
direct
0.030 0.868 0.587 Lu
0.132 0.970 0.913 Lu
0.868 0.030 0.087 Lu
0.970 0.132 0.413 Lu
0.194 0.354 0.079 Hf
0.301 0.479 0.421 Hf
0.354 0.194 0.579 Hf
0.479 0.301 0.921 Hf
0.521 0.699 0.079 Hf
0.646 0.806 0.421 Hf
0.699 0.521 0.579 Hf
0.806 0.646 0.921 Hf
0.084 0.264 0.751 Pb
0.264 0.084 0.251 Pb
0.431 0.569 0.750 Pb
0.569 0.431 0.250 Pb
0.736 0.916 0.749 Pb
0.916 0.736 0.249 Pb
0.000 0.500 0.500 C
0.173 0.653 0.000 C
0.347 0.827 0.500 C
0.500 0.000 0.000 C
0.653 0.173 0.500 C
0.827 0.347 0.000 C
```

[2]
Starting from DFT lattice parameters and positions (PBE), the PXRD pattern of Na4ReSe4 was calculated for Cu Ka.
Peak positions follow from Bragg's law for the DFT cell and can differ from measured ones.

The 8 most intense peaks (10° ≤ 2θ ≤ 80°), most intense first:
16.47 deg, I = 100; 27.68 deg, I = 62; 15.57 deg, I = 40; 45.23 deg, I = 35; 25.32 deg, I = 27; 43.47 deg, I = 22; 35.16 deg, I = 20; 33.29 deg, I = 18

Atomic structure:
```
Na4ReSe4
1.0
8.046 0.000 0.000
0.000 8.046 0.000
0.000 0.000 7.244
Na Re Se
8 2 8
direct
0.092 0.303 0.471 Na
0.197 0.408 0.971 Na
0.303 0.908 0.529 Na
0.408 0.803 0.029 Na
0.592 0.197 0.029 Na
0.697 0.092 0.529 Na
0.803 0.592 0.971 Na
0.908 0.697 0.471 Na
0.000 0.000 0.000 Re
0.500 0.500 0.500 Re
0.091 0.768 0.818 Se
0.232 0.091 0.182 Se
0.268 0.591 0.318 Se
0.409 0.268 0.682 Se
0.591 0.732 0.682 Se
0.732 0.409 0.318 Se
0.768 0.909 0.182 Se
0.909 0.232 0.818 Se
```

[3]
Starting from DFT lattice parameters and positions (PBE), the PXRD pattern of Pr4BBrCl4 was calculated for Cu Ka.
Peak positions follow from Bragg's law for the DFT cell and can differ from measured ones.

The 8 most intense peaks (10° ≤ 2θ ≤ 80°), most intense first:
30.38 deg, I = 100; 10.72 deg, I = 44; 10.11 deg, I = 37; 30.66 deg, I = 36; 44.15 deg, I = 25; 43.25 deg, I = 25; 26.77 deg, I = 18; 20.32 deg, I = 18

Atomic structure:
```
Pr4BBrCl4
1.0
9.068 -2.029 0.000
9.068 2.029 0.000
-2.254 0.000 8.252
Pr B Br Cl
4 1 1 4
direct
0.001 0.001 0.286 Pr
0.350 0.350 0.410 Pr
0.650 0.650 0.590 Pr
0.999 0.999 0.714 Pr
0.500 0.500 0.500 B
0.500 0.500 0.000 Br
0.165 0.165 0.830 Cl
0.170 0.170 0.360 Cl
0.830 0.830 0.640 Cl
0.835 0.835 0.170 Cl
```

[4]
Starting from DFT lattice parameters and positions (PBE), the PXRD pattern of In2Pt7 was calculated for Cu Ka.
Peak positions follow from Bragg's law for the DFT cell and can differ from measured ones.

The 8 most intense peaks (10° ≤ 2θ ≤ 80°), most intense first:
38.09 deg, I = 100; 39.14 deg, I = 92; 45.25 deg, I = 83; 65.03 deg, I = 43; 38.38 deg, I = 33; 66.84 deg, I = 26; 78.08 deg, I = 25; 41.46 deg, I = 25

Atomic structure:
```
In2Pt7
1.0
2.870 0.000 0.000
-1.435 2.485 0.000
0.000 0.000 30.489
In Pt
2 7
direct
0.333 0.667 0.200 In
0.667 0.333 0.800 In
0.000 0.000 0.278 Pt
0.000 0.000 0.500 Pt
0.000 0.000 0.722 Pt
0.333 0.667 0.427 Pt
0.333 0.667 0.646 Pt
0.667 0.333 0.354 Pt
0.667 0.333 0.573 Pt
```